The following is a computed powder diffraction line list of Ho2Zn7Ni. It was derived from a crystal structure in Alexandria, relaxed with PBE, using a wavelength of 1.5418 Å.
Neutral-atom scattering factors, no anomalous dispersion.

```
data_Ho2Zn7Ni
_chemical_formula_sum 'Ho2 Zn7 Ni1'
_cell_length_a 4.0170
_cell_length_b 4.0170
_cell_length_c 10.9316
_cell_angle_alpha 90.00
_cell_angle_beta 90.00
_cell_angle_gamma 90.00
_symmetry_space_group_name_H-M 'P -4 m 2'
_symmetry_Int_Tables_number 115
loop_
_symmetry_equiv_pos_as_xyz
'x,y,z'
'y,-x,-z'
'-x,-y,z'
'-y,x,-z'
'-x,y,z'
'-y,-x,-z'
'x,-y,z'
'y,x,-z'
loop_
_atom_site_label
_atom_site_fract_x
_atom_site_fract_y
_atom_site_fract_z
Ho1 0.0000 0.5000 0.2391
Zn1 0.0000 0.0000 0.0000
Zn2 0.0000 0.0000 0.5000
Zn3 0.0000 0.5000 0.6450
Zn4 0.0000 0.5000 0.8683
Zn5 0.5000 0.5000 0.5000
Ni1 0.5000 0.5000 0.0000
```

Most intense lines, 5 to 70 degrees two-theta, sorted by position:
hkl 1 0 1, 2θ = 23.60°, d 3.771, intensity 7
hkl 1 1 0, 2θ = 31.50°, d 2.840, intensity 18
hkl 0 0 4, 2θ = 32.77°, d 2.733, intensity 8
hkl 1 0 3, 2θ = 33.19°, d 2.699, intensity 61
hkl 1 1 2, 2θ = 35.62°, d 2.520, intensity 100
hkl 2 0 0, 2θ = 45.14°, d 2.009, intensity 48
hkl 1 0 5, 2θ = 47.34°, d 1.920, intensity 34
hkl 2 0 4, 2θ = 56.89°, d 1.618, intensity 7
hkl 2 1 3, 2θ = 57.17°, d 1.611, intensity 26
hkl 1 1 6, 2θ = 60.36°, d 1.534, intensity 10
hkl 2 2 0, 2θ = 65.75°, d 1.420, intensity 15
hkl 2 1 5, 2θ = 67.48°, d 1.388, intensity 23

The following is a computed powder diffraction line list of Ho4ZnNi2. It was derived from a crystal structure in Alexandria, relaxed with PBE, using a wavelength of 1.5418 Å.
Neutral-atom scattering factors, no anomalous dispersion.

```
data_Ho4ZnNi2
_chemical_formula_sum 'Ho12 Zn3 Ni6'
_cell_length_a 4.6947
_cell_length_b 4.6947
_cell_length_c 25.6559
_cell_angle_alpha 90.00
_cell_angle_beta 90.00
_cell_angle_gamma 120.00
_symmetry_space_group_name_H-M 'R -3 m'
_symmetry_Int_Tables_number 166
_symmetry_space_group_name_Hall '-R 3 2"'
loop_
_atom_site_label
_atom_site_fract_x
_atom_site_fract_y
_atom_site_fract_z
Ho1 0.0000 0.0000 0.1174
Ho2 0.0000 0.0000 0.2951
Zn1 0.0000 0.0000 0.5000
Ni1 0.0000 0.0000 0.4054
```

Most intense lines, 5 to 70 degrees two-theta, sorted by position:
hkl 1 0 4, 2θ = 25.95°, d 3.434, intensity 16
hkl 0 1 5, 2θ = 28.00°, d 3.187, intensity 93
hkl 1 0 7, 2θ = 32.90°, d 2.722, intensity 40
hkl 1 1 0, 2θ = 38.35°, d 2.347, intensity 100
hkl 1 0 10, 2θ = 41.62°, d 2.170, intensity 47
hkl 2 0 5, 2θ = 48.15°, d 1.890, intensity 21
hkl 0 2 7, 2θ = 51.42°, d 1.777, intensity 15
hkl 0 2 10, 2θ = 57.87°, d 1.593, intensity 17
hkl 1 1 12, 2θ = 58.38°, d 1.581, intensity 15
hkl 1 2 5, 2θ = 63.16°, d 1.472, intensity 19
hkl 0 1 17, 2θ = 66.03°, d 1.415, intensity 13
hkl 3 0 0, 2θ = 69.34°, d 1.355, intensity 17

The following is a computed powder diffraction line list of HoZn2Ni9. It was derived from a crystal structure in Alexandria, relaxed with PBE, using a wavelength of 1.5418 Å.
Neutral-atom scattering factors, no anomalous dispersion.

```
data_HoZn2Ni9
_chemical_formula_sum 'Ho2 Zn4 Ni18'
_cell_length_a 8.0466
_cell_length_b 8.0466
_cell_length_c 4.7254
_cell_angle_alpha 90.00
_cell_angle_beta 90.00
_cell_angle_gamma 90.00
_symmetry_space_group_name_H-M 'P 4/m b m'
_symmetry_Int_Tables_number 127
_symmetry_space_group_name_Hall '-P 4 2ab'
loop_
_atom_site_label
_atom_site_fract_x
_atom_site_fract_y
_atom_site_fract_z
Ho1 0.0000 0.0000 0.0000
Zn1 0.1181 0.3819 0.0000
Ni1 0.0000 0.5000 0.5000
Ni2 0.0635 0.2090 0.5000
Ni3 0.1788 0.6788 0.2420
```

Most intense lines, 5 to 70 degrees two-theta, sorted by position:
hkl 1 1 1, 2θ = 24.49°, d 3.635, intensity 10
hkl 2 0 1, 2θ = 29.15°, d 3.063, intensity 13
hkl 2 2 0, 2θ = 31.45°, d 2.845, intensity 11
hkl 3 1 0, 2θ = 35.27°, d 2.545, intensity 21
hkl 2 2 1, 2θ = 36.88°, d 2.437, intensity 32
hkl 0 0 2, 2θ = 38.09°, d 2.363, intensity 15
hkl 3 1 1, 2θ = 40.25°, d 2.240, intensity 100
hkl 2 0 2, 2θ = 44.47°, d 2.037, intensity 40
hkl 3 2 1, 2θ = 44.92°, d 2.018, intensity 31
hkl 2 1 2, 2θ = 45.95°, d 1.975, intensity 58
hkl 4 1 0, 2θ = 46.53°, d 1.952, intensity 41
hkl 4 2 0, 2θ = 50.74°, d 1.799, intensity 17

The following is a computed powder diffraction line list of Ho3Zn2Ni6. It was derived from a crystal structure in Alexandria, relaxed with PBE, using a wavelength of 1.5418 Å.
Neutral-atom scattering factors, no anomalous dispersion.

```
data_Ho3Zn2Ni6
_chemical_formula_sum 'Ho12 Zn8 Ni24'
_cell_length_a 8.8771
_cell_length_b 8.8771
_cell_length_c 8.8771
_cell_angle_alpha 90.00
_cell_angle_beta 90.00
_cell_angle_gamma 90.00
_symmetry_space_group_name_H-M 'I m -3 m'
_symmetry_Int_Tables_number 229
_symmetry_space_group_name_Hall '-I 4 2 3'
loop_
_atom_site_label
_atom_site_fract_x
_atom_site_fract_y
_atom_site_fract_z
Ho1 0.0000 0.0000 0.2950
Zn1 0.2500 0.2500 0.2500
Ni1 0.0000 0.3390 0.3390
```

Most intense lines, 5 to 70 degrees two-theta, sorted by position:
hkl 2 1 1, 2θ = 24.56°, d 3.624, intensity 23
hkl 3 1 0, 2θ = 31.88°, d 2.807, intensity 38
hkl 2 2 2, 2θ = 35.02°, d 2.563, intensity 43
hkl 3 2 1, 2θ = 37.92°, d 2.373, intensity 22
hkl 4 0 0, 2θ = 40.65°, d 2.219, intensity 24
hkl 3 3 0, 2θ = 43.24°, d 2.092, intensity 100
hkl 4 2 0, 2θ = 45.71°, d 1.985, intensity 6
hkl 5 2 1, 2θ = 56.80°, d 1.621, intensity 21
hkl 4 4 0, 2θ = 58.85°, d 1.569, intensity 7
hkl 4 3 3, 2θ = 60.85°, d 1.522, intensity 12
hkl 6 0 0, 2θ = 62.81°, d 1.480, intensity 8
hkl 5 3 2, 2θ = 64.73°, d 1.440, intensity 14

The following is a computed powder diffraction line list of Ho3Zn3Ni2. It was derived from a crystal structure in Alexandria, relaxed with PBE, using a wavelength of 1.5418 Å.
Neutral-atom scattering factors, no anomalous dispersion.

```
data_Ho3Zn3Ni2
_chemical_formula_sum 'Ho12 Zn12 Ni8'
_cell_length_a 7.3385
_cell_length_b 15.6312
_cell_length_c 5.3547
_cell_angle_alpha 90.00
_cell_angle_beta 90.00
_cell_angle_gamma 90.00
_symmetry_space_group_name_H-M 'P n m a'
_symmetry_Int_Tables_number 62
loop_
_symmetry_equiv_pos_as_xyz
'x,y,z'
'-x,-y,-z'
'-x+1/2,-y,z+1/2'
'x+1/2,y,-z+1/2'
'x+1/2,-y+1/2,-z+1/2'
'-x+1/2,y+1/2,z+1/2'
'-x,y+1/2,-z'
'x,-y+1/2,z'
loop_
_atom_site_label
_atom_site_fract_x
_atom_site_fract_y
_atom_site_fract_z
Ho1 0.0377 0.1072 0.1182
Ho2 0.1670 0.2500 0.6389
Zn1 0.1742 0.7500 0.6323
Zn2 0.1750 0.0329 0.6027
Ni1 0.1169 0.6148 0.3791
```

Most intense lines, 5 to 70 degrees two-theta, sorted by position:
hkl 2 1 1, 2θ = 30.07°, d 2.972, intensity 31
hkl 1 4 1, 2θ = 30.84°, d 2.900, intensity 72
hkl 2 4 0, 2θ = 33.50°, d 2.675, intensity 96
hkl 0 6 0, 2θ = 34.42°, d 2.605, intensity 41
hkl 1 5 1, 2θ = 35.43°, d 2.534, intensity 27
hkl 1 0 2, 2θ = 35.70°, d 2.515, intensity 38
hkl 1 1 2, 2θ = 36.17°, d 2.483, intensity 77
hkl 2 4 1, 2θ = 37.59°, d 2.393, intensity 100
hkl 1 3 2, 2θ = 39.80°, d 2.265, intensity 72
hkl 3 0 1, 2θ = 40.54°, d 2.225, intensity 69
hkl 1 4 2, 2θ = 42.75°, d 2.115, intensity 42
hkl 1 7 2, 2θ = 54.99°, d 1.670, intensity 35

The following is a computed powder diffraction line list of HoZn8Ni2. It was derived from a crystal structure in Alexandria, relaxed with PBE, using a wavelength of 1.5418 Å.
Neutral-atom scattering factors, no anomalous dispersion.

```
data_HoZn8Ni2
_chemical_formula_sum 'Ho1 Zn8 Ni2'
_cell_length_a 6.2379
_cell_length_b 6.2379
_cell_length_c 5.1277
_cell_angle_alpha 90.00
_cell_angle_beta 90.00
_cell_angle_gamma 90.00
_symmetry_space_group_name_H-M 'P 4/m m m'
_symmetry_Int_Tables_number 123
_symmetry_space_group_name_Hall '-P 4 2'
loop_
_atom_site_label
_atom_site_fract_x
_atom_site_fract_y
_atom_site_fract_z
Ho1 0.0000 0.0000 0.0000
Zn1 0.2894 0.2894 0.2560
Ni1 0.0000 0.5000 0.5000
```

Most intense lines, 5 to 70 degrees two-theta, sorted by position:
hkl 1 0 1, 2θ = 22.44°, d 3.961, intensity 30
hkl 1 1 1, 2θ = 26.66°, d 3.344, intensity 60
hkl 2 0 0, 2θ = 28.62°, d 3.119, intensity 13
hkl 2 1 0, 2θ = 32.08°, d 2.790, intensity 35
hkl 2 1 1, 2θ = 36.67°, d 2.451, intensity 15
hkl 1 0 2, 2θ = 37.94°, d 2.371, intensity 25
hkl 2 2 0, 2θ = 40.92°, d 2.205, intensity 60
hkl 3 0 0, 2θ = 43.52°, d 2.079, intensity 28
hkl 2 0 2, 2θ = 45.81°, d 1.981, intensity 100
hkl 3 1 1, 2θ = 49.51°, d 1.841, intensity 22
hkl 4 0 0, 2θ = 59.25°, d 1.559, intensity 13
hkl 3 2 2, 2θ = 65.04°, d 1.434, intensity 27

The following is a computed powder diffraction line list of HoZn2Ni2. It was derived from a crystal structure in Alexandria, relaxed with PBE, using a wavelength of 1.5418 Å.
Neutral-atom scattering factors, no anomalous dispersion.

```
data_HoZn2Ni2
_chemical_formula_sum 'Ho1 Zn2 Ni2'
_cell_length_a 3.9057
_cell_length_b 3.9057
_cell_length_c 5.2759
_cell_angle_alpha 90.00
_cell_angle_beta 90.00
_cell_angle_gamma 90.00
_symmetry_space_group_name_H-M 'P 4/m m m'
_symmetry_Int_Tables_number 123
_symmetry_space_group_name_Hall '-P 4 2'
loop_
_atom_site_label
_atom_site_fract_x
_atom_site_fract_y
_atom_site_fract_z
Ho1 0.0000 0.0000 0.0000
Zn1 0.0000 0.5000 0.5000
Ni1 0.5000 0.5000 0.2209
```

Most intense lines, 5 to 70 degrees two-theta, sorted by position:
hkl 1 0 1, 2θ = 28.43°, d 3.139, intensity 35
hkl 1 1 0, 2θ = 32.42°, d 2.762, intensity 15
hkl 0 0 2, 2θ = 33.98°, d 2.638, intensity 10
hkl 1 1 1, 2θ = 36.73°, d 2.447, intensity 100
hkl 1 0 2, 2θ = 41.30°, d 2.186, intensity 54
hkl 2 0 0, 2θ = 46.50°, d 1.953, intensity 44
hkl 2 1 1, 2θ = 55.41°, d 1.658, intensity 11
hkl 1 0 3, 2θ = 57.47°, d 1.604, intensity 13
hkl 2 0 2, 2θ = 58.84°, d 1.570, intensity 8
hkl 1 1 3, 2θ = 62.62°, d 1.483, intensity 11
hkl 2 1 2, 2θ = 63.92°, d 1.456, intensity 28
hkl 2 2 0, 2θ = 67.87°, d 1.381, intensity 14

The following is a computed powder diffraction line list of Ho3Zn2Ni. It was derived from a crystal structure in Alexandria, relaxed with PBE, using a wavelength of 1.5418 Å.
Neutral-atom scattering factors, no anomalous dispersion.

```
data_Ho3Zn2Ni
_chemical_formula_sum 'Ho3 Zn2 Ni1'
_cell_length_a 4.9216
_cell_length_b 4.9216
_cell_length_c 6.0495
_cell_angle_alpha 90.00
_cell_angle_beta 90.00
_cell_angle_gamma 120.00
_symmetry_space_group_name_H-M 'P -3 m 1'
_symmetry_Int_Tables_number 164
_symmetry_space_group_name_Hall '-P 3 2"'
loop_
_atom_site_label
_atom_site_fract_x
_atom_site_fract_y
_atom_site_fract_z
Ho1 0.0000 0.0000 0.0000
Ho2 0.3333 0.6667 0.6529
Zn1 0.3333 0.6667 0.1507
Ni1 0.0000 0.0000 0.5000
```

Most intense lines, 5 to 70 degrees two-theta, sorted by position:
hkl 1 0 1, 2θ = 25.57°, d 3.484, intensity 20
hkl 1 1 0, 2θ = 36.47°, d 2.464, intensity 100
hkl 0 0 3, 2θ = 44.95°, d 2.017, intensity 1
hkl 0 2 1, 2θ = 45.11°, d 2.010, intensity 5
hkl 2 0 2, 2θ = 52.53°, d 1.742, intensity 17
hkl 1 1 3, 2θ = 59.24°, d 1.560, intensity 4
hkl 2 1 1, 2θ = 59.37°, d 1.557, intensity 4
hkl 1 0 4, 2θ = 65.49°, d 1.425, intensity 9
hkl 3 0 0, 2θ = 65.68°, d 1.421, intensity 26

The following is a computed powder diffraction line list of HoZn7Ni5. It was derived from a crystal structure in Alexandria, relaxed with PBE, using a wavelength of 1.5418 Å.
Neutral-atom scattering factors, no anomalous dispersion.

```
data_HoZn7Ni5
_chemical_formula_sum 'Ho2 Zn14 Ni10'
_cell_length_a 5.0211
_cell_length_b 8.5204
_cell_length_c 8.4726
_cell_angle_alpha 90.00
_cell_angle_beta 90.00
_cell_angle_gamma 90.00
_symmetry_space_group_name_H-M 'I m m 2'
_symmetry_Int_Tables_number 44
loop_
_symmetry_equiv_pos_as_xyz
'x,y,z'
'-x,-y,z'
'-x,y,z'
'x,-y,z'
'x+1/2,y+1/2,z+1/2'
'-x+1/2,-y+1/2,z+1/2'
'-x+1/2,y+1/2,z+1/2'
'x+1/2,-y+1/2,z+1/2'
loop_
_atom_site_label
_atom_site_fract_x
_atom_site_fract_y
_atom_site_fract_z
Ho1 0.0000 0.0000 0.0000
Zn1 0.0000 0.0000 0.3518
Zn2 0.0000 0.0000 0.6673
Zn3 0.0000 0.2871 0.5185
Zn4 0.0000 0.3458 0.0305
Zn5 0.0000 0.5000 0.7467
Ni1 0.0000 0.5000 0.2975
Ni2 0.2481 0.2489 0.7724
```

Most intense lines, 5 to 70 degrees two-theta, sorted by position:
hkl 1 2 1, 2θ = 29.48°, d 3.030, intensity 23
hkl 0 1 3, 2θ = 33.43°, d 2.681, intensity 11
hkl 2 0 0, 2θ = 35.77°, d 2.511, intensity 22
hkl 1 3 0, 2θ = 36.34°, d 2.472, intensity 30
hkl 1 0 3, 2θ = 36.50°, d 2.462, intensity 23
hkl 2 2 0, 2θ = 41.79°, d 2.161, intensity 69
hkl 1 3 2, 2θ = 42.37°, d 2.133, intensity 100
hkl 0 4 0, 2θ = 42.44°, d 2.130, intensity 28
hkl 0 0 4, 2θ = 42.69°, d 2.118, intensity 29
hkl 2 2 2, 2θ = 47.18°, d 1.926, intensity 39
hkl 0 4 2, 2θ = 47.80°, d 1.903, intensity 14
hkl 3 3 2, 2θ = 68.80°, d 1.365, intensity 22

The following is a computed powder diffraction line list of Ho2Zn3Ni. It was derived from a crystal structure in Alexandria, relaxed with PBE, using a wavelength of 1.5418 Å.
Neutral-atom scattering factors, no anomalous dispersion.

```
data_Ho2Zn3Ni
_chemical_formula_sum 'Ho2 Zn3 Ni1'
_cell_length_a 3.5447
_cell_length_b 4.3223
_cell_length_c 7.5695
_cell_angle_alpha 90.00
_cell_angle_beta 90.00
_cell_angle_gamma 90.00
_symmetry_space_group_name_H-M 'P m m 2'
_symmetry_Int_Tables_number 25
loop_
_symmetry_equiv_pos_as_xyz
'x,y,z'
'-x,-y,z'
'-x,y,z'
'x,-y,z'
loop_
_atom_site_label
_atom_site_fract_x
_atom_site_fract_y
_atom_site_fract_z
Ho1 0.0000 0.0000 0.0000
Ho2 0.0000 0.5000 0.4518
Zn1 0.5000 0.0000 0.6350
Zn2 0.5000 0.5000 0.1393
Zn3 0.5000 0.5000 0.8041
Ni1 0.5000 0.0000 0.3052
```

Most intense lines, 5 to 70 degrees two-theta, sorted by position:
hkl 0 0 2, 2θ = 23.51°, d 3.785, intensity 9
hkl 0 1 1, 2θ = 23.70°, d 3.753, intensity 20
hkl 1 0 2, 2θ = 34.67°, d 2.587, intensity 48
hkl 1 1 1, 2θ = 34.81°, d 2.577, intensity 100
hkl 0 1 3, 2θ = 41.44°, d 2.179, intensity 47
hkl 0 2 0, 2θ = 41.80°, d 2.161, intensity 26
hkl 2 0 0, 2θ = 51.57°, d 1.772, intensity 14
hkl 1 0 4, 2θ = 55.01°, d 1.669, intensity 10
hkl 1 2 2, 2θ = 55.39°, d 1.659, intensity 25
hkl 2 1 1, 2θ = 57.47°, d 1.603, intensity 6
hkl 2 1 3, 2θ = 68.21°, d 1.375, intensity 21
hkl 2 2 0, 2θ = 68.46°, d 1.370, intensity 11

The following is a computed powder diffraction line list of HoZr2Ni. It was derived from a crystal structure in Alexandria, relaxed with PBE, using a wavelength of 1.5418 Å.
Neutral-atom scattering factors, no anomalous dispersion.

```
data_HoZr2Ni
_chemical_formula_sum 'Ho4 Zr8 Ni4'
_cell_length_a 6.2758
_cell_length_b 9.6152
_cell_length_c 5.7942
_cell_angle_alpha 90.00
_cell_angle_beta 90.00
_cell_angle_gamma 90.00
_symmetry_space_group_name_H-M 'P n m a'
_symmetry_Int_Tables_number 62
loop_
_symmetry_equiv_pos_as_xyz
'x,y,z'
'-x,-y,-z'
'-x+1/2,-y,z+1/2'
'x+1/2,y,-z+1/2'
'x+1/2,-y+1/2,-z+1/2'
'-x+1/2,y+1/2,z+1/2'
'-x,y+1/2,-z'
'x,-y+1/2,z'
loop_
_atom_site_label
_atom_site_fract_x
_atom_site_fract_y
_atom_site_fract_z
Ho1 0.0270 0.2500 0.1447
Zr1 0.1815 0.0543 0.6654
Ni1 0.1058 0.7500 0.3879
```

Most intense lines, 5 to 70 degrees two-theta, sorted by position:
hkl 1 2 1, 2θ = 28.00°, d 3.187, intensity 28
hkl 0 3 1, 2θ = 31.91°, d 2.805, intensity 63
hkl 2 1 1, 2θ = 33.80°, d 2.652, intensity 46
hkl 2 2 0, 2θ = 34.11°, d 2.628, intensity 92
hkl 1 3 1, 2θ = 35.04°, d 2.561, intensity 29
hkl 1 1 2, 2θ = 35.38°, d 2.537, intensity 100
hkl 0 4 0, 2θ = 37.41°, d 2.404, intensity 29
hkl 2 2 1, 2θ = 37.59°, d 2.393, intensity 51
hkl 1 2 2, 2θ = 39.03°, d 2.308, intensity 24
hkl 1 3 2, 2θ = 44.56°, d 2.033, intensity 22
hkl 1 5 2, 2θ = 59.55°, d 1.552, intensity 31
hkl 3 3 2, 2θ = 61.90°, d 1.499, intensity 23

The following is a computed powder diffraction line list of Ho2ZrNi. It was derived from a crystal structure in Alexandria, relaxed with PBE, using a wavelength of 1.5418 Å.
Neutral-atom scattering factors, no anomalous dispersion.

```
data_Ho2ZrNi
_chemical_formula_sum 'Ho2 Zr1 Ni1'
_cell_length_a 3.3942
_cell_length_b 3.3942
_cell_length_c 7.9236
_cell_angle_alpha 90.00
_cell_angle_beta 90.00
_cell_angle_gamma 90.00
_symmetry_space_group_name_H-M 'P 4/m m m'
_symmetry_Int_Tables_number 123
_symmetry_space_group_name_Hall '-P 4 2'
loop_
_atom_site_label
_atom_site_fract_x
_atom_site_fract_y
_atom_site_fract_z
Ho1 0.0000 0.0000 0.2070
Zr1 0.5000 0.5000 0.5000
Ni1 0.5000 0.5000 0.0000
```

Most intense lines, 5 to 70 degrees two-theta, sorted by position:
hkl 0 0 1, 2θ = 11.17°, d 7.924, intensity 6
hkl 1 0 0, 2θ = 26.26°, d 3.394, intensity 15
hkl 1 0 1, 2θ = 28.61°, d 3.120, intensity 12
hkl 0 0 3, 2θ = 33.94°, d 2.641, intensity 10
hkl 1 0 2, 2θ = 34.81°, d 2.578, intensity 100
hkl 1 1 0, 2θ = 37.47°, d 2.400, intensity 50
hkl 1 0 3, 2θ = 43.41°, d 2.084, intensity 12
hkl 1 1 3, 2θ = 51.45°, d 1.776, intensity 12
hkl 2 0 0, 2θ = 54.04°, d 1.697, intensity 17
hkl 1 1 4, 2θ = 60.61°, d 1.528, intensity 10
hkl 1 0 5, 2θ = 64.94°, d 1.436, intensity 10
hkl 2 1 2, 2θ = 65.90°, d 1.417, intensity 31

The following is a computed powder diffraction line list of HoNp2. It was derived from a crystal structure in Alexandria, relaxed with PBE, using a wavelength of 1.5418 Å.
Neutral-atom scattering factors, no anomalous dispersion.

Cell: 8.1889 8.1889 8.1889 Å, 90.00 90.00 90.00°
Space group Fd-3m (No. 227, origin choice 2)
One atom of each set of equivalent atoms:
Ho (0.1250, 0.1250, 0.1250) x8
Np (0.0000, 0.0000, 0.5000) x16

Most intense lines, 5 to 70 degrees two-theta, sorted by position:
hkl 1 1 1, 2θ = 18.77°, d 4.728, intensity 19
hkl 2 2 0, 2θ = 30.89°, d 2.895, intensity 17
hkl 3 1 1, 2θ = 36.39°, d 2.469, intensity 100
hkl 2 2 2, 2θ = 38.07°, d 2.364, intensity 53
hkl 4 0 0, 2θ = 44.24°, d 2.047, intensity 11
hkl 3 3 1, 2θ = 48.45°, d 1.879, intensity 5
hkl 4 2 2, 2θ = 54.93°, d 1.672, intensity 7
hkl 5 1 1, 2θ = 58.57°, d 1.576, intensity 35
hkl 4 4 0, 2θ = 64.36°, d 1.448, intensity 32
hkl 5 3 1, 2θ = 67.69°, d 1.384, intensity 4